Calculated powder diffractogram of Cr2HgO4 for Cu Kα X-rays, from a cell relaxed with PBE+U.
Kinematic intensities with the Lorentz-polarization factor, no thermal factor.

Main lines, in order of rising 2θ (2θ = 5–70°):
- 2θ 17.35, I = 21
- 2θ 28.52, I = 87
- 2θ 33.58, I = 100
- 2θ 44.62, I = 15
- 2θ 50.52, I = 34
- 2θ 53.82, I = 40
- 2θ 59.04, I = 32
- 2θ 62.03, I = 7
- 2θ 66.85, I = 14
- 2θ 69.66, I = 12

Structural model:
```
data_Cr2HgO4
_cell_length_a 6.259
_cell_length_b 6.259
_cell_length_c 6.259
_cell_angle_alpha 60.00
_cell_angle_beta 60.00
_cell_angle_gamma 60.00
_space_group_name_H-M_alt 'P 1'
_space_group_IT_number 1
_space_group_name_Hall 'P 1'
loop_
_atom_site_label
_atom_site_fract_x
_atom_site_fract_y
_atom_site_fract_z
Cr1 0.000 0.000 0.000
Cr2 0.000 0.000 0.500
Cr3 0.000 0.500 0.000
Cr4 0.500 0.000 0.000
Hg1 0.375 0.375 0.375
Hg2 0.625 0.625 0.625
O1 0.188 0.771 0.771
O2 0.229 0.229 0.229
O3 0.229 0.229 0.812
O4 0.229 0.812 0.229
O5 0.771 0.188 0.771
O6 0.771 0.771 0.188
O7 0.771 0.771 0.771
O8 0.812 0.229 0.229
```



Calculated powder diffractogram of CrHg3Pb2O8 for Cu Kα X-rays, from a cell relaxed with PBE+U.
Kinematic intensities with the Lorentz-polarization factor, no thermal factor.

Main lines, in order of rising 2θ (2θ = 5–70°):
- 2θ 26.58, I = 49
- 2θ 27.52, I = 45
- 2θ 27.90, I = 20
- 2θ 28.75, I = 100
- 2θ 29.09, I = 30
- 2θ 29.91, I = 18
- 2θ 30.11, I = 19
- 2θ 31.95, I = 33
- 2θ 32.41, I = 17
- 2θ 36.08, I = 20

Structural model:
```
data_CrHg3Pb2O8
_cell_length_a 6.576
_cell_length_b 22.394
_cell_length_c 7.197
_cell_angle_alpha 90.00
_cell_angle_beta 109.52
_cell_angle_gamma 90.00
_space_group_name_H-M_alt 'P 1'
_space_group_IT_number 1
_space_group_name_Hall 'P 1'
loop_
_atom_site_label
_atom_site_fract_x
_atom_site_fract_y
_atom_site_fract_z
Cr1 0.085 0.111 0.365
Cr2 0.085 0.389 0.865
Cr3 0.915 0.611 0.135
Cr4 0.915 0.889 0.635
Hg1 0.005 0.056 0.825
Hg2 0.005 0.444 0.325
Hg3 0.141 0.218 0.899
Hg4 0.141 0.282 0.399
Hg5 0.426 0.638 0.628
Hg6 0.426 0.862 0.128
Hg7 0.574 0.138 0.872
Hg8 0.574 0.362 0.372
Hg9 0.859 0.718 0.601
Hg10 0.859 0.782 0.101
Hg11 0.995 0.556 0.675
Hg12 0.995 0.944 0.175
Pb1 0.334 0.701 0.073
Pb2 0.334 0.799 0.573
Pb3 0.471 0.522 0.241
Pb4 0.471 0.978 0.741
Pb5 0.529 0.022 0.259
Pb6 0.529 0.478 0.759
Pb7 0.666 0.201 0.427
Pb8 0.666 0.299 0.927
O1 0.088 0.155 0.556
O2 0.088 0.345 0.056
O3 0.174 0.605 0.280
O4 0.174 0.895 0.780
O5 0.184 0.044 0.441
O6 0.184 0.456 0.941
O7 0.186 0.724 0.708
O8 0.186 0.776 0.208
O9 0.233 0.142 0.243
O10 0.233 0.358 0.743
O11 0.323 0.567 0.768
O12 0.323 0.933 0.268
O13 0.328 0.042 0.921
O14 0.328 0.458 0.421
O15 0.471 0.214 0.991
O16 0.471 0.286 0.491
O17 0.529 0.714 0.509
O18 0.529 0.786 0.009
O19 0.672 0.542 0.579
O20 0.672 0.958 0.079
O21 0.677 0.067 0.732
O22 0.677 0.433 0.232
O23 0.767 0.642 0.257
O24 0.767 0.858 0.757
O25 0.814 0.224 0.792
O26 0.814 0.276 0.292
O27 0.816 0.544 0.059
O28 0.816 0.956 0.559
O29 0.826 0.105 0.220
O30 0.826 0.395 0.720
O31 0.912 0.655 0.944
O32 0.912 0.845 0.444
```



Calculated powder diffractogram of CrHgPb2O6 for Cu Kα X-rays, from a cell relaxed with PBE+U.
Kinematic intensities with the Lorentz-polarization factor, no thermal factor.

Main lines, in order of rising 2θ (2θ = 5–70°):
- 2θ 11.10, I = 26
- 2θ 16.68, I = 24
- 2θ 25.72, I = 93
- 2θ 25.83, I = 100
- 2θ 27.28, I = 29
- 2θ 27.47, I = 87
- 2θ 28.90, I = 58
- 2θ 31.54, I = 43
- 2θ 33.65, I = 93
- 2θ 42.05, I = 23

Structural model:
```
data_CrHgPb2O6
_cell_length_a 6.594
_cell_length_b 7.346
_cell_length_c 7.993
_cell_angle_alpha 90.81
_cell_angle_beta 93.53
_cell_angle_gamma 110.00
_space_group_name_H-M_alt 'P 1'
_space_group_IT_number 1
_space_group_name_Hall 'P 1'
loop_
_atom_site_label
_atom_site_fract_x
_atom_site_fract_y
_atom_site_fract_z
Cr1 0.199 0.266 0.149
Cr2 0.801 0.734 0.851
Hg1 0.184 0.199 0.636
Hg2 0.816 0.801 0.364
Pb1 0.275 0.756 0.143
Pb2 0.327 0.765 0.607
Pb3 0.673 0.235 0.393
Pb4 0.725 0.244 0.857
O1 0.043 0.845 0.777
O2 0.089 0.733 0.375
O3 0.160 0.358 0.966
O4 0.337 0.111 0.132
O5 0.343 0.448 0.281
O6 0.447 0.112 0.630
O7 0.553 0.888 0.370
O8 0.657 0.552 0.719
O9 0.663 0.889 0.868
O10 0.840 0.642 0.034
O11 0.911 0.267 0.625
O12 0.957 0.155 0.223
```



Calculated powder diffractogram of CrHg5S2O5 for Cu Kα X-rays, from a cell relaxed with PBE+U.
Kinematic intensities with the Lorentz-polarization factor, no thermal factor.

Main lines, in order of rising 2θ (2θ = 5–70°):
- 2θ 15.03, I = 98
- 2θ 25.02, I = 36
- 2θ 28.11, I = 44
- 2θ 28.37, I = 100
- 2θ 28.76, I = 80
- 2θ 29.54, I = 51
- 2θ 30.95, I = 57
- 2θ 34.58, I = 37
- 2θ 49.97, I = 45
- 2θ 52.01, I = 48

Structural model:
```
data_CrHg5S2O5
_cell_length_a 7.201
_cell_length_b 8.463
_cell_length_c 9.676
_cell_angle_alpha 83.27
_cell_angle_beta 80.47
_cell_angle_gamma 69.11
_space_group_name_H-M_alt 'P 1'
_space_group_IT_number 1
_space_group_name_Hall 'P 1'
loop_
_atom_site_label
_atom_site_fract_x
_atom_site_fract_y
_atom_site_fract_z
Cr1 0.093 0.377 0.299
Cr2 0.907 0.623 0.701
Hg1 0.113 0.718 0.027
Hg2 0.169 0.878 0.339
Hg3 0.306 0.180 0.652
Hg4 0.350 0.435 0.918
Hg5 0.500 0.000 0.000
Hg6 0.500 0.500 0.500
Hg7 0.650 0.565 0.082
Hg8 0.694 0.820 0.348
Hg9 0.831 0.122 0.661
Hg10 0.887 0.282 0.973
S1 0.090 0.050 0.811
S2 0.398 0.801 0.511
S3 0.602 0.199 0.489
S4 0.910 0.950 0.189
O1 0.115 0.231 0.434
O2 0.150 0.489 0.695
O3 0.157 0.281 0.148
O4 0.239 0.489 0.304
O5 0.477 0.816 0.151
O6 0.523 0.184 0.849
O7 0.761 0.511 0.696
O8 0.843 0.719 0.852
O9 0.850 0.511 0.305
O10 0.885 0.769 0.566
```



Calculated powder diffractogram of CrHg3S2O4 for Cu Kα X-rays, from a cell relaxed with PBE+U.
Kinematic intensities with the Lorentz-polarization factor, no thermal factor.

Main lines, in order of rising 2θ (2θ = 5–70°):
- 2θ 17.60, I = 50
- 2θ 26.79, I = 100
- 2θ 27.16, I = 90
- 2θ 28.84, I = 42
- 2θ 31.87, I = 26
- 2θ 37.40, I = 28
- 2θ 37.69, I = 32
- 2θ 39.74, I = 47
- 2θ 46.66, I = 24
- 2θ 54.63, I = 21

Structural model:
```
data_CrHg3S2O4
_cell_length_a 7.717
_cell_length_b 15.332
_cell_length_c 7.725
_cell_angle_alpha 90.00
_cell_angle_beta 119.46
_cell_angle_gamma 90.00
_space_group_name_H-M_alt 'P 1'
_space_group_IT_number 1
_space_group_name_Hall 'P 1'
loop_
_atom_site_label
_atom_site_fract_x
_atom_site_fract_y
_atom_site_fract_z
Cr1 0.121 0.098 0.395
Cr2 0.121 0.402 0.895
Cr3 0.879 0.598 0.105
Cr4 0.879 0.902 0.605
Hg1 0.099 0.164 0.891
Hg2 0.099 0.336 0.391
Hg3 0.328 0.544 0.630
Hg4 0.328 0.956 0.130
Hg5 0.389 0.637 0.079
Hg6 0.389 0.863 0.579
Hg7 0.611 0.137 0.421
Hg8 0.611 0.363 0.921
Hg9 0.672 0.044 0.870
Hg10 0.672 0.456 0.370
Hg11 0.901 0.664 0.609
Hg12 0.901 0.836 0.109
S1 0.258 0.683 0.738
S2 0.258 0.817 0.238
S3 0.432 0.100 0.071
S4 0.432 0.400 0.571
S5 0.568 0.600 0.429
S6 0.568 0.900 0.929
S7 0.742 0.183 0.762
S8 0.742 0.317 0.262
O1 0.006 0.625 0.989
O2 0.006 0.875 0.489
O3 0.017 0.537 0.306
O4 0.017 0.963 0.806
O5 0.190 0.189 0.325
O6 0.190 0.311 0.825
O7 0.325 0.040 0.543
O8 0.325 0.460 0.043
O9 0.675 0.540 0.957
O10 0.675 0.960 0.457
O11 0.810 0.689 0.175
O12 0.810 0.811 0.675
O13 0.983 0.037 0.194
O14 0.983 0.463 0.694
O15 0.994 0.125 0.511
O16 0.994 0.375 0.011
```



Calculated powder diffractogram of Ho2MgCr2O8 for Cu Kα X-rays, from a cell relaxed with PBE+U.
Kinematic intensities with the Lorentz-polarization factor, no thermal factor.

Main lines, in order of rising 2θ (2θ = 5–70°):
- 2θ 18.41, I = 46
- 2θ 24.13, I = 100
- 2θ 30.82, I = 17
- 2θ 32.82, I = 45
- 2θ 33.10, I = 34
- 2θ 33.83, I = 17
- 2θ 39.28, I = 22
- 2θ 48.06, I = 30
- 2θ 48.68, I = 33
- 2θ 49.42, I = 17

Structural model:
```
data_Ho2MgCr2O8
_cell_length_a 6.044
_cell_length_b 6.044
_cell_length_c 6.181
_cell_angle_alpha 105.73
_cell_angle_beta 105.73
_cell_angle_gamma 116.42
_space_group_name_H-M_alt 'P 1'
_space_group_IT_number 1
_space_group_name_Hall 'P 1'
loop_
_atom_site_label
_atom_site_fract_x
_atom_site_fract_y
_atom_site_fract_z
Ho1 0.000 0.000 0.000
Ho2 0.720 0.280 0.500
Mg1 0.712 0.288 0.000
Cr1 0.223 0.777 0.500
Cr2 0.446 0.554 0.000
O1 0.030 0.765 0.675
O2 0.035 0.408 0.303
O3 0.080 0.354 0.834
O4 0.235 0.970 0.325
O5 0.481 0.341 0.159
O6 0.592 0.965 0.697
O7 0.646 0.920 0.166
O8 0.659 0.519 0.841
```